(1)
Diffraction record for ZnCr5O7. The powder XRD pattern is theoretical, not measured: it uses a cell relaxed with PBE+U and Cu Ka.

Atomic structure:
```
ZnCr5O7
1.0
1.4979 -5.1229 0.0000
1.4979 5.1229 0.0000
0.0000 0.0000 18.4000
Zn Cr O
2 10 14
Cartesian
1.4979 3.0378 13.8000
1.4979 -3.0378 4.6000
0.0000 0.0000 0.0000
0.0000 0.0000 9.2000
1.4979 2.3121 1.4257
1.4979 2.3121 7.7743
1.4979 0.4215 12.0504
1.4979 0.4215 15.5496
1.4979 -0.4215 2.8504
1.4979 -0.4215 6.3496
1.4979 -2.3121 10.6257
1.4979 -2.3121 16.9743
1.4979 4.4102 11.1188
1.4979 4.4102 16.4812
1.4979 3.3109 3.1808
1.4979 3.3109 6.0192
1.4979 1.3364 9.6468
1.4979 1.3364 17.9532
1.4979 0.6835 4.6000
1.4979 -0.6835 13.8000
1.4979 -1.3364 0.4468
1.4979 -1.3364 8.7532
1.4979 -3.3109 12.3808
1.4979 -3.3109 15.2192
1.4979 -4.4102 1.9188
1.4979 -4.4102 7.2812
```

Principal peaks in the range 10° ≤ 2θ ≤ 80°, in order of falling intensity:
- 2θ = 34.07°, rel. 100
- 2θ = 41.27°, rel. 82
- 2θ = 42.77°, rel. 71
- 2θ = 34.45°, rel. 55
- 2θ = 59.68°, rel. 34
- 2θ = 55.13°, rel. 33
- 2θ = 29.90°, rel. 32
- 2θ = 38.49°, rel. 31
- 2θ = 72.62°, rel. 26
- 2θ = 58.11°, rel. 24



(2)
Diffraction record for ZnCr2O4. The powder XRD pattern is theoretical, not measured: it uses a cell relaxed with PBE+U and Cu Ka.

Atomic structure:
```
ZnCr2O4
1.0
7.2053 -1.4931 0.0000
7.2053 1.4931 0.0000
-6.0731 0.0000 7.2736
Zn Cr O
2 4 8
Cartesian
1.3001 0.0000 1.3397
7.0374 0.0000 5.9339
-0.8194 0.0000 3.3282
3.9655 0.0000 1.3580
4.3720 0.0000 5.9156
9.1569 0.0000 3.9454
-4.0162 0.0000 5.4539
-1.4337 0.0000 6.6962
0.7469 0.0000 4.8186
2.7648 0.0000 2.9310
5.5727 0.0000 4.3426
7.5906 0.0000 2.4550
9.7712 0.0000 0.5774
12.3537 0.0000 1.8197
```

Principal peaks in the range 10° ≤ 2θ ≤ 80°, in order of falling intensity:
- 2θ = 16.02°, rel. 100
- 2θ = 35.35°, rel. 71
- 2θ = 41.65°, rel. 66
- 2θ = 32.37°, rel. 65
- 2θ = 49.97°, rel. 54
- 2θ = 29.59°, rel. 49
- 2θ = 37.08°, rel. 43
- 2θ = 43.67°, rel. 42
- 2θ = 65.05°, rel. 35
- 2θ = 31.41°, rel. 34



(3)
Diffraction record for ZnCr2O4. The powder XRD pattern is theoretical, not measured: it uses a cell relaxed with PBE+U and Cu Ka.

Atomic structure:
```
ZnCr2O4
1.0
2.9999 1.7320 4.9676
-2.9999 1.7320 4.9676
0.0000 -3.4640 4.9676
Zn Cr O
2 4 8
Cartesian
0.0000 0.0000 0.0000
0.0000 0.0000 5.6138
-1.5124 -0.8732 12.3841
0.0000 0.0000 9.2223
1.5124 -0.8732 12.3841
0.0000 1.7464 12.3841
-1.5678 -0.9052 8.5582
0.0000 0.0000 3.5413
0.0000 -1.8575 6.3030
-1.6087 0.9288 6.3030
1.5678 -0.9052 8.5582
0.0000 1.8104 8.5582
0.0000 0.0000 11.3134
1.6087 0.9288 6.3030
```

Principal peaks in the range 10° ≤ 2θ ≤ 80°, in order of falling intensity:
- 2θ = 34.94°, rel. 100
- 2θ = 34.70°, rel. 58
- 2θ = 61.86°, rel. 42
- 2θ = 61.23°, rel. 42
- 2θ = 29.78°, rel. 38
- 2θ = 35.06°, rel. 36
- 2θ = 42.42°, rel. 35
- 2θ = 56.08°, rel. 32
- 2θ = 56.25°, rel. 24
- 2θ = 29.50°, rel. 23



(4)
Diffraction record for ZnCr2O4. The powder XRD pattern is theoretical, not measured: it uses a cell relaxed with PBE+U and Cu Ka.

Atomic structure:
```
ZnCr2O4
1.0
6.0051 0.0000 0.0000
-3.0025 5.2005 0.0000
0.0000 0.0000 14.8233
Zn Cr O
6 12 24
Cartesian
0.0000 0.0000 0.0000
0.0000 0.0000 3.6003
0.0000 0.0000 9.2191
0.0000 3.4670 9.8653
3.0025 1.7335 4.8521
3.0025 1.7335 14.1765
0.0000 1.7425 6.6990
-1.4935 4.3293 6.6990
1.4874 0.8588 11.6590
0.0000 3.4670 4.2359
0.0000 3.4670 13.4642
3.0025 0.0075 1.7865
1.5078 2.5965 1.7865
1.4935 4.3293 6.6990
3.0025 1.7335 8.5305
4.5176 0.8588 11.6590
3.0025 3.4830 11.6590
4.4973 2.5965 1.7865
0.0000 0.0000 5.6600
0.0000 0.0000 12.7404
-1.3610 2.6812 5.5408
0.0000 1.6079 10.5374
-1.6101 4.3966 10.5374
0.0000 1.8996 2.9718
-1.3574 4.2507 2.9718
1.4414 0.8322 7.8299
0.0000 3.4670 0.6937
0.0000 3.4670 7.7854
1.6066 0.9276 0.6712
1.3610 2.6812 5.5408
0.0000 5.0386 5.5408
3.0025 0.0780 12.7852
1.5688 2.5613 12.7852
1.3574 4.2507 2.9718
3.0025 1.7335 2.8577
3.0025 1.7335 10.5794
1.6101 4.3966 10.5374
4.3985 0.9276 0.6712
3.0025 3.3454 0.6712
4.5637 0.8322 7.8299
3.0025 3.5362 7.8299
4.4362 2.5613 12.7852
```

Principal peaks in the range 10° ≤ 2θ ≤ 80°, in order of falling intensity:
- 2θ = 34.99°, rel. 100
- 2θ = 34.83°, rel. 40
- 2θ = 56.18°, rel. 40
- 2θ = 61.80°, rel. 31
- 2θ = 61.45°, rel. 30
- 2θ = 29.76°, rel. 27
- 2θ = 42.47°, rel. 23
- 2θ = 29.60°, rel. 20
- 2θ = 52.76°, rel. 12
- 2θ = 56.00°, rel. 9



(5)
Diffraction record for ZnCrO2. The powder XRD pattern is theoretical, not measured: it uses a cell relaxed with PBE+U and Cu Ka.

Atomic structure:
```
ZnCrO2
1.0
3.0663 0.0000 0.0000
-0.7043 7.8810 0.0000
-1.3325 -1.7776 7.6602
Zn Cr O
4 4 8
Cartesian
0.0000 0.0000 0.0000
-1.1892 2.2496 5.2967
-0.5741 4.9768 5.9343
0.1811 4.4759 3.1864
0.3312 0.2113 2.7373
0.7714 5.5448 0.6830
1.7824 2.7642 0.4228
1.8937 -0.6752 5.2182
-1.0717 2.1210 7.2992
0.2601 1.6143 1.1571
-0.3311 6.3939 4.0932
0.3426 3.5625 4.9135
0.3914 0.0341 6.3214
1.1669 7.2403 1.6875
1.7290 4.2059 1.9583
1.8638 0.9424 3.8287
```

Principal peaks in the range 10° ≤ 2θ ≤ 80°, in order of falling intensity:
- 2θ = 37.62°, rel. 100
- 2θ = 35.12°, rel. 91
- 2θ = 35.55°, rel. 60
- 2θ = 28.26°, rel. 59
- 2θ = 33.45°, rel. 55
- 2θ = 11.54°, rel. 52
- 2θ = 23.47°, rel. 45
- 2θ = 51.19°, rel. 39
- 2θ = 38.89°, rel. 38
- 2θ = 34.31°, rel. 37



(6)
Diffraction record for ZnCr2O4. The powder XRD pattern is theoretical, not measured: it uses a cell relaxed with PBE+U and Cu Ka.

Atomic structure:
```
ZnCr2O4
1.0
5.1508 -3.0239 0.0000
5.1508 3.0239 0.0000
-0.9915 0.0000 14.8491
Zn Cr O
6 12 24
Cartesian
0.0000 0.0000 0.0000
0.9251 0.0000 12.3842
2.8199 0.0000 9.9031
5.0374 0.0000 1.8506
4.6989 0.0000 7.3950
6.6055 0.0000 4.9389
2.5959 1.5142 0.0056
1.5890 0.0000 3.0408
1.3357 0.0000 6.8180
4.0344 1.5067 4.9130
5.3879 1.5105 9.8927
2.5959 -1.5142 0.0056
4.3056 0.0000 13.0043
4.0344 -1.5067 4.9130
5.3879 -1.5105 9.8927
8.0849 0.0000 8.0179
7.8375 0.0000 11.7537
8.4725 0.0000 2.4295
-0.6440 0.0000 10.9313
1.8485 1.4276 11.1171
4.1554 1.6638 1.2396
1.0027 0.0000 8.7649
1.8247 0.0000 1.1164
3.7690 1.4277 8.6548
5.1216 1.5975 13.6446
2.4890 0.0000 13.8217
3.1341 0.0000 5.9396
5.6293 1.4568 6.1584
1.8485 -1.4276 11.1171
4.8809 0.0000 3.8691
4.6270 0.0000 11.0289
7.6192 1.4182 3.6341
3.7690 -1.4277 8.6548
6.2733 0.0000 8.8420
6.9534 0.0000 1.1267
4.1554 -1.6638 1.2396
7.4845 0.0000 13.6965
5.6293 -1.4568 6.1584
5.1216 -1.5975 13.6446
8.3729 0.0000 6.0217
9.9934 0.0000 3.8164
7.6192 -1.4182 3.6341
```

Principal peaks in the range 10° ≤ 2θ ≤ 80°, in order of falling intensity:
- 2θ = 34.22°, rel. 100
- 2θ = 34.75°, rel. 69
- 2θ = 36.06°, rel. 54
- 2θ = 30.00°, rel. 42
- 2θ = 41.66°, rel. 41
- 2θ = 35.89°, rel. 38
- 2θ = 62.39°, rel. 37
- 2θ = 62.29°, rel. 37
- 2θ = 55.47°, rel. 28
- 2θ = 54.85°, rel. 26



(7)
Diffraction record for ZnCr2O4. The powder XRD pattern is theoretical, not measured: it uses a cell relaxed with PBE+U and Cu Ka.

Atomic structure:
```
ZnCr2O4
1.0
9.0091 0.0000 0.0000
0.0000 2.9463 0.0000
0.0000 0.0000 10.5736
Zn Cr O
4 8 16
Cartesian
2.1650 0.7366 1.6236
2.3395 2.2097 6.9104
6.6695 0.7366 3.6632
6.8440 2.2097 8.9501
0.5261 0.7366 4.0357
0.7909 0.7366 9.5017
3.7136 2.2097 4.2149
3.9784 2.2097 9.3225
5.0306 0.7366 1.2511
5.2954 0.7366 6.3587
8.2181 2.2097 1.0719
8.4829 2.2097 6.5379
0.2945 2.2097 8.3171
0.8091 0.7366 6.0584
1.1007 2.2097 0.3478
1.8250 2.2097 3.4459
2.6795 0.7366 8.7327
3.4038 0.7366 5.6346
3.6954 2.2097 0.7716
4.2101 0.7366 3.0303
4.7990 2.2097 7.5433
5.3136 0.7366 9.8020
5.6053 2.2097 4.9390
6.3296 2.2097 1.8409
7.1840 0.7366 7.1277
7.9083 0.7366 10.2258
8.2000 2.2097 4.5152
8.7146 0.7366 2.2565
```

Principal peaks in the range 10° ≤ 2θ ≤ 80°, in order of falling intensity:
- 2θ = 34.34°, rel. 100
- 2θ = 33.91°, rel. 50
- 2θ = 50.59°, rel. 49
- 2θ = 41.17°, rel. 48
- 2θ = 36.30°, rel. 44
- 2θ = 51.82°, rel. 24
- 2θ = 36.44°, rel. 24
- 2θ = 43.90°, rel. 21
- 2θ = 63.11°, rel. 20
- 2θ = 73.86°, rel. 19



(8)
Diffraction record for ZnCrO2. The powder XRD pattern is theoretical, not measured: it uses a cell relaxed with PBE+U and Cu Ka.

Atomic structure:
```
ZnCrO2
1.0
3.0701 0.0000 0.0000
0.5249 8.0179 0.0000
0.5834 -0.0340 8.5633
Zn Cr O
4 4 8
Cartesian
0.6617 0.6547 2.0189
1.2491 1.9967 5.1642
2.9293 5.9871 3.3992
3.5167 7.3292 6.5444
1.4249 4.5990 5.9933
1.9503 6.0195 0.6217
2.2281 1.9643 7.9416
2.7535 3.3849 2.5701
0.9893 5.9695 7.8784
1.2357 4.8577 2.3201
1.2151 2.1626 3.2778
1.4562 0.5876 6.4620
2.7222 7.3962 2.1013
2.9632 5.8212 5.2855
2.9427 3.1262 6.2432
3.1891 2.0143 0.6850
```

Principal peaks in the range 10° ≤ 2θ ≤ 80°, in order of falling intensity:
- 2θ = 30.61°, rel. 100
- 2θ = 33.04°, rel. 99
- 2θ = 33.28°, rel. 88
- 2θ = 35.18°, rel. 79
- 2θ = 20.75°, rel. 58
- 2θ = 38.18°, rel. 51
- 2θ = 34.89°, rel. 48
- 2θ = 22.17°, rel. 43
- 2θ = 48.29°, rel. 40
- 2θ = 30.49°, rel. 32